Entry 1:
Sm8Mg3Tc2: theoretical powder X-ray diffraction pattern (Cu Kα), based on a DFT-relaxed cell (GGA-PBE, Alexandria).

Atomic structure:
Cell: 9.231 9.231 5.352 Å, 90.00 90.00 122.68°
Atoms (fractional coordinates):
Sm: 0.105 0.895 0.000
Sm: 0.139 0.421 0.500
Sm: 0.297 0.703 0.000
Sm: 0.421 0.139 0.500
Sm: 0.579 0.861 0.500
Sm: 0.703 0.297 0.000
Sm: 0.861 0.579 0.500
Sm: 0.895 0.105 0.000
Mg: 0.000 0.000 0.500
Mg: 0.328 0.328 0.000
Mg: 0.672 0.672 0.000
Tc: 0.213 0.787 0.500
Tc: 0.787 0.213 0.500

Main lines, in order of rising 2θ (10° ≤ 2θ ≤ 80°):
| 2θ/deg | I_rel |
| --- | --- |
| 10.92 | 71 |
| 21.95 | 23 |
| 26.12 | 100 |
| 29.90 | 21 |
| 33.49 | 71 |
| 33.89 | 94 |
| 34.37 | 85 |
| 38.62 | 27 |
| 40.76 | 29 |
| 44.86 | 25 |
| 53.74 | 26 |
| 62.21 | 21 |

Entry 2:
Er2Ga10Os3: theoretical powder X-ray diffraction pattern (Cu Kα), based on a DFT-relaxed cell (GGA-PBE, Alexandria).

Atomic structure:
Cell: 8.901 8.901 6.386 Å, 90.00 90.00 90.00°
Atoms (fractional coordinates):
Er: 0.183 0.317 0.000
Er: 0.317 0.817 0.000
Er: 0.683 0.183 0.000
Er: 0.817 0.683 0.000
Ga: 0.000 0.500 0.284
Ga: 0.000 0.500 0.716
Ga: 0.061 0.793 0.293
Ga: 0.061 0.793 0.707
Ga: 0.207 0.061 0.293
Ga: 0.207 0.061 0.707
Ga: 0.293 0.561 0.293
Ga: 0.293 0.561 0.707
Ga: 0.439 0.293 0.293
Ga: 0.439 0.293 0.707
Ga: 0.500 0.000 0.284
Ga: 0.500 0.000 0.716
Ga: 0.561 0.707 0.293
Ga: 0.561 0.707 0.707
Ga: 0.707 0.439 0.293
Ga: 0.707 0.439 0.707
Ga: 0.793 0.939 0.293
Ga: 0.793 0.939 0.707
Ga: 0.939 0.207 0.293
Ga: 0.939 0.207 0.707
Os: 0.000 0.000 0.000
Os: 0.179 0.321 0.500
Os: 0.321 0.821 0.500
Os: 0.500 0.500 0.000
Os: 0.679 0.179 0.500
Os: 0.821 0.679 0.500

Main lines, in order of rising 2θ (10° ≤ 2θ ≤ 80°):
| 2θ/deg | I_rel |
| --- | --- |
| 19.80 | 22 |
| 22.33 | 55 |
| 34.57 | 20 |
| 36.06 | 100 |
| 40.23 | 43 |
| 41.84 | 91 |
| 42.83 | 94 |
| 43.11 | 28 |
| 45.56 | 25 |
| 60.66 | 19 |
| 68.08 | 22 |
| 73.82 | 22 |

Entry 3:
CsH6PdRh: theoretical powder X-ray diffraction pattern (Cu Kα), based on a DFT-relaxed cell (GGA-PBE, Alexandria).

Atomic structure:
Cell: 5.032 5.032 5.328 Å, 89.93 89.94 63.70°
Atoms (fractional coordinates):
Cs: 0.000 0.000 0.000
H: 0.049 0.677 0.500
H: 0.324 0.986 0.499
H: 0.492 0.494 0.672
H: 0.494 0.492 0.329
H: 0.677 0.049 0.501
H: 0.986 0.324 0.499
Pd: 0.678 0.678 0.500
Rh: 0.330 0.330 0.500

Main lines, in order of rising 2θ (10° ≤ 2θ ≤ 80°):
| 2θ/deg | I_rel |
| --- | --- |
| 16.64 | 13 |
| 25.88 | 100 |
| 26.74 | 57 |
| 33.64 | 29 |
| 33.75 | 28 |
| 35.76 | 46 |
| 43.57 | 29 |
| 48.40 | 20 |
| 49.91 | 36 |
| 55.76 | 12 |
| 59.38 | 14 |
| 72.13 | 12 |

Entry 4:
Pm3Ni4Pt4: theoretical powder X-ray diffraction pattern (Cu Kα), based on a DFT-relaxed cell (GGA-PBE, Alexandria).

Atomic structure:
Cell: 6.485 6.485 6.485 Å, 109.47 109.47 109.47°
Atoms (fractional coordinates):
Pm: 0.000 0.500 0.500
Pm: 0.500 0.000 0.500
Pm: 0.500 0.500 0.000
Ni: 0.000 0.000 0.229
Ni: 0.000 0.229 0.000
Ni: 0.229 0.000 0.000
Ni: 0.771 0.771 0.771
Pt: 0.000 0.000 0.596
Pt: 0.000 0.596 0.000
Pt: 0.404 0.404 0.404
Pt: 0.596 0.000 0.000

Main lines, in order of rising 2θ (10° ≤ 2θ ≤ 80°):
| 2θ/deg | I_rel |
| --- | --- |
| 29.21 | 36 |
| 33.86 | 100 |
| 38.00 | 30 |
| 45.31 | 30 |
| 51.80 | 40 |
| 57.75 | 13 |
| 60.58 | 19 |
| 63.33 | 12 |
| 68.65 | 8 |
| 73.78 | 12 |
| 76.30 | 7 |
| 78.78 | 18 |